Diffraction record for Na2AsPCO7. The powder diffraction line list is theoretical, not measured: it uses a cell relaxed with GGA-PBE and Cu Kα, 1.54184 Å.
Intensities are scaled so that the largest is 100.

Largest 10 diffraction maxima, sorted by position, 2θ = 10–90°:
two_theta  Rel. int.
16.42  93
18.14  100
22.58  97
24.27  66
25.79  68
26.86  99
32.60  91
33.18  92
47.86  96
50.97  69

Cell: 5.5566 6.6391 9.2857 Å, 90.00 93.46 90.00°
Space group P2_1/m (No. 11)
Unique sites:
Na  0.2249  0.0107  0.2740 (multiplicity 4)
As  0.3491  0.2500  0.8671 (multiplicity 2)
P  0.2598  0.7500  0.8995 (multiplicity 2)
C  0.2413  0.2500  0.5917 (multiplicity 2)
O  0.0100  0.2500  0.1315 (multiplicity 2)
O  0.0509  0.2500  0.6643 (multiplicity 2)
O  0.2538  0.2500  0.4582 (multiplicity 2)
O  0.3138  0.7500  0.0733 (multiplicity 2)
O  0.3928  0.5639  0.8401 (multiplicity 4)
O  0.4536  0.2500  0.6770 (multiplicity 2)